(1)
Ce3AlCo2: computed powder XRD pattern (Cu Ka), based on a structure optimized by DFT (GGA-PBE).
No peak broadening, texture or thermal motion is included.

Structure:
Lattice parameters (Å, degrees): 4.393 4.458 12.378 90.00 90.00 90.00
Space group Immm (No. 71)
Symmetry-distinct sites (fractional):
Ce: 0.000 0.000 0.000 [2 per cell]
Ce: 0.000 0.500 0.316 [4 per cell]
Al: 0.000 0.000 0.500 [2 per cell]
Co: 0.000 0.500 0.138 [4 per cell]

Main lines, low angle first (10° ≤ 2θ ≤ 80°):
2theta, d_spacing, I (rel.)
21.18, 4.194, 20
28.53, 3.129, 27
29.71, 3.007, 31
32.05, 2.792, 100
40.47, 2.229, 30
41.06, 2.198, 62
41.74, 2.164, 28
59.05, 1.564, 19

***

(2)
Ce3AlCo8: computed powder XRD pattern (Cu Ka), based on a structure optimized by DFT (GGA-PBE).
No peak broadening, texture or thermal motion is included.

Structure:
Lattice parameters (Å, degrees): 4.9374 4.9374 24.2392 90.00 90.00 120.00
Space group R3m (No. 160, hexagonal axes)
Symmetry-distinct sites (fractional):
Ce: 0.0000 0.0000 0.0000 [3 per cell]
Ce: 0.0000 0.0000 0.1248 [3 per cell]
Ce: 0.0000 0.0000 0.6243 [3 per cell]
Al: 0.0000 0.0000 0.4998 [3 per cell]
Co: 0.0000 0.0000 0.3129 [3 per cell]
Co: 0.0000 0.0000 0.8140 [3 per cell]
Co: 0.0076 0.5038 0.0663 [9 per cell]
Co: 0.1686 0.3372 0.8924 [9 per cell]

Main lines, low angle first (10° ≤ 2θ ≤ 80°):
2theta, d_spacing, I (rel.)
36.37, 2.470, 49
42.93, 2.107, 100
44.94, 2.017, 23
65.46, 1.426, 13
69.90, 1.346, 7
69.98, 1.344, 22
77.17, 1.236, 11
77.30, 1.234, 11

***

(3)
Ce4AlCo25: computed powder XRD pattern (Cu Ka), based on a structure optimized by DFT (GGA-PBE).
No peak broadening, texture or thermal motion is included.

Structure:
Lattice parameters (Å, degrees): 4.798 41.950 4.046 90.00 90.00 90.00
Space group Cmmm (No. 65)
Symmetry-distinct sites (fractional):
Ce: 0.000 0.097 0.000 [4 per cell]
Ce: 0.000 0.301 0.000 [4 per cell]
Al: 0.000 0.500 0.000 [2 per cell]
Co: 0.000 0.000 0.500 [2 per cell]
Co: 0.000 0.030 0.000 [4 per cell]
Co: 0.000 0.162 0.000 [4 per cell]
Co: 0.000 0.199 0.500 [4 per cell]
Co: 0.000 0.236 0.000 [4 per cell]
Co: 0.000 0.365 0.000 [4 per cell]
Co: 0.000 0.402 0.500 [4 per cell]
Co: 0.000 0.441 0.000 [4 per cell]
Co: 0.243 0.453 0.500 [8 per cell]
Co: 0.249 0.148 0.500 [8 per cell]
Co: 0.250 0.250 0.500 [4 per cell]

Main lines, low angle first (10° ≤ 2θ ≤ 80°):
2theta, d_spacing, I (rel.)
30.81, 2.902, 50
37.21, 2.416, 26
43.13, 2.097, 23
43.45, 2.083, 30
43.63, 2.074, 100
43.87, 2.064, 54
44.80, 2.023, 50
71.89, 1.313, 21

***

(4)
Ce3AlCo2Ge6: computed powder XRD pattern (Cu Ka), based on a structure optimized by DFT (GGA-PBE).
No peak broadening, texture or thermal motion is included.

Structure:
Lattice parameters (Å, degrees): 6.3836 6.3836 6.8869 90.00 90.00 120.00
Space group P-3m1 (No. 164)
Symmetry-distinct sites (fractional):
Ce: 0.0000 0.0000 0.0000 [1 per cell]
Ce: 0.3333 0.6667 0.7085 [2 per cell]
Al: 0.0000 0.0000 0.5000 [1 per cell]
Co: 0.3333 0.6667 0.0150 [2 per cell]
Ge: 0.1956 0.3913 0.2975 [6 per cell]

Main lines, low angle first (10° ≤ 2θ ≤ 80°):
2theta, d_spacing, I (rel.)
27.95, 3.192, 61
30.59, 2.923, 26
30.88, 2.896, 17
34.98, 2.565, 100
39.25, 2.296, 23
41.91, 2.156, 50
51.77, 1.766, 21
57.77, 1.596, 26

***

(5)
Ce2AlCo3P4: computed powder XRD pattern (Cu Ka), based on a structure optimized by DFT (GGA-PBE).
No peak broadening, texture or thermal motion is included.

Structure:
Lattice parameters (Å, degrees): 4.002 4.002 9.297 90.00 90.00 90.00
Space group P-4m2 (No. 115)
Symmetry-distinct sites (fractional):
Ce: 0.000 0.500 0.238 [2 per cell]
Al: 0.000 0.000 0.500 [1 per cell]
Co: 0.000 0.500 0.892 [2 per cell]
Co: 0.500 0.500 0.500 [1 per cell]
P: 0.000 0.000 0.000 [1 per cell]
P: 0.000 0.500 0.646 [2 per cell]
P: 0.500 0.500 0.000 [1 per cell]

Main lines, low angle first (10° ≤ 2θ ≤ 80°):
2theta, d_spacing, I (rel.)
24.21, 3.676, 40
31.62, 2.830, 44
36.68, 2.450, 100
37.20, 2.417, 100
45.32, 2.001, 61
54.41, 1.686, 24
59.66, 1.550, 48
78.29, 1.221, 22

***

(6)
CeAlCrGe2: computed powder XRD pattern (Cu Ka), based on a structure optimized by DFT (GGA-PBE).
No peak broadening, texture or thermal motion is included.

Structure:
Lattice parameters (Å, degrees): 5.657 5.743 5.752 90.00 90.00 90.00
Space group Pmma (No. 51)
Symmetry-distinct sites (fractional):
Ce: 0.250 0.000 0.229 [2 per cell]
Al: 0.250 0.500 0.375 [2 per cell]
Cr: 0.000 0.500 0.000 [2 per cell]
Ge: 0.250 0.237 0.743 [4 per cell]

Main lines, low angle first (10° ≤ 2θ ≤ 80°):
2theta, d_spacing, I (rel.)
27.02, 3.300, 29
31.10, 2.875, 27
31.63, 2.828, 30
34.89, 2.571, 29
35.37, 2.537, 23
38.48, 2.339, 100
44.95, 2.016, 38
60.95, 1.520, 26

***

(7)
CeAlCrSi2: computed powder XRD pattern (Cu Ka), based on a structure optimized by DFT (GGA-PBE).
No peak broadening, texture or thermal motion is included.

Structure:
Lattice parameters (Å, degrees): 5.418 5.553 5.709 90.00 90.00 90.00
Space group Pmma (No. 51)
Symmetry-distinct sites (fractional):
Ce: 0.250 0.000 0.229 [2 per cell]
Al: 0.250 0.500 0.381 [2 per cell]
Cr: 0.000 0.500 0.000 [2 per cell]
Si: 0.250 0.236 0.748 [4 per cell]

Main lines, low angle first (10° ≤ 2θ ≤ 80°):
2theta, d_spacing, I (rel.)
22.63, 3.930, 45
27.81, 3.208, 76
32.24, 2.776, 26
33.07, 2.709, 27
35.36, 2.539, 59
36.92, 2.435, 40
39.75, 2.268, 100
46.20, 1.965, 42

***

(8)
Cs2CeAlO4: computed powder XRD pattern (Cu Ka), based on a structure optimized by DFT (GGA-PBE).
No peak broadening, texture or thermal motion is included.

Structure:
Lattice parameters (Å, degrees): 5.793 12.996 24.308 90.00 90.00 90.00
Space group Fddd (No. 70, origin choice 2)
Symmetry-distinct sites (fractional):
Cs: 0.125 0.125 0.307 [16 per cell]
Ce: 0.125 0.125 0.125 [8 per cell]
Al: 0.125 0.125 0.625 [8 per cell]
O: 0.079 0.294 0.839 [32 per cell]

Main lines, low angle first (10° ≤ 2θ ≤ 80°):
2theta, d_spacing, I (rel.)
17.15, 5.170, 47
24.87, 3.580, 46
25.92, 3.437, 100
27.45, 3.249, 32
31.69, 2.824, 45
33.89, 2.645, 37
38.18, 2.357, 32
47.66, 1.908, 39

***

(9)
CeAl2Cu9: computed powder XRD pattern (Cu Ka), based on a structure optimized by DFT (GGA-PBE).
No peak broadening, texture or thermal motion is included.

Structure:
Lattice parameters (Å, degrees): 4.9588 4.9588 24.0126 90.00 90.00 120.00
Space group R-3m (No. 166, hexagonal axes)
Symmetry-distinct sites (fractional):
Ce: 0.0000 0.0000 0.0000 [3 per cell]
Al: 0.0000 0.0000 0.1448 [6 per cell]
Cu: 0.0000 0.0000 0.3341 [6 per cell]
Cu: 0.0000 0.0000 0.5000 [3 per cell]
Cu: 0.0063 0.5031 0.9127 [18 per cell]

Main lines, low angle first (10° ≤ 2θ ≤ 80°):
2theta, d_spacing, I (rel.)
11.05, 8.004, 26
25.50, 3.493, 24
36.23, 2.479, 21
42.26, 2.139, 29
42.91, 2.108, 100
45.32, 2.001, 29
46.32, 1.960, 22
69.77, 1.348, 22

***

(10)
Ce3AlCu3: computed powder XRD pattern (Cu Ka), based on a structure optimized by DFT (GGA-PBE).
No peak broadening, texture or thermal motion is included.

Structure:
Lattice parameters (Å, degrees): 4.250 10.398 13.444 90.00 90.00 90.00
Space group Cmcm (No. 63)
Symmetry-distinct sites (fractional):
Ce: 0.000 0.001 0.250 [4 per cell]
Ce: 0.000 0.289 0.103 [8 per cell]
Al: 0.000 0.000 0.000 [4 per cell]
Cu: 0.000 0.293 0.750 [4 per cell]
Cu: 0.000 0.426 0.591 [8 per cell]

Main lines, low angle first (10° ≤ 2θ ≤ 80°):
2theta, d_spacing, I (rel.)
26.25, 3.395, 56
30.23, 2.956, 91
33.36, 2.686, 78
35.12, 2.555, 89
39.10, 2.304, 100
40.10, 2.249, 53
40.25, 2.241, 43
42.54, 2.125, 58

***

(11)
CeAl7Cu5: computed powder XRD pattern (Cu Ka), based on a structure optimized by DFT (GGA-PBE).
No peak broadening, texture or thermal motion is included.

Structure:
Lattice parameters (Å, degrees): 5.097 8.859 8.760 90.00 90.00 90.00
Space group Imm2 (No. 44)
Symmetry-distinct sites (fractional):
Ce: 0.000 0.000 0.000 [2 per cell]
Al: 0.000 0.000 0.350 [2 per cell]
Al: 0.000 0.000 0.654 [2 per cell]
Al: 0.000 0.289 0.494 [4 per cell]
Al: 0.000 0.349 0.008 [4 per cell]
Al: 0.000 0.500 0.726 [2 per cell]
Cu: 0.000 0.500 0.272 [2 per cell]
Cu: 0.249 0.252 0.749 [8 per cell]

Main lines, low angle first (10° ≤ 2θ ≤ 80°):
2theta, d_spacing, I (rel.)
14.22, 6.229, 36
28.63, 3.118, 56
28.70, 3.111, 35
40.74, 2.215, 36
40.87, 2.208, 100
41.00, 2.201, 71
41.22, 2.190, 36
46.02, 1.972, 31

***

(12)
Ce2Al4Cu3Pt: computed powder XRD pattern (Cu Ka), based on a structure optimized by DFT (GGA-PBE).
No peak broadening, texture or thermal motion is included.

Structure:
Lattice parameters (Å, degrees): 4.242 4.242 10.127 90.00 90.00 90.00
Space group P-4m2 (No. 115)
Symmetry-distinct sites (fractional):
Ce: 0.000 0.500 0.247 [2 per cell]
Al: 0.000 0.000 0.500 [1 per cell]
Al: 0.000 0.500 0.869 [2 per cell]
Al: 0.500 0.500 0.500 [1 per cell]
Cu: 0.000 0.000 0.000 [1 per cell]
Cu: 0.000 0.500 0.629 [2 per cell]
Pt: 0.500 0.500 0.000 [1 per cell]

Main lines, low angle first (10° ≤ 2θ ≤ 80°):
2theta, d_spacing, I (rel.)
22.73, 3.913, 27
31.10, 2.876, 25
33.94, 2.641, 51
34.76, 2.581, 100
42.63, 2.121, 48
49.89, 1.828, 20
55.57, 1.654, 25
72.95, 1.297, 23

***

(13)
CeAl2ZnCu: computed powder XRD pattern (Cu Ka), based on a structure optimized by DFT (GGA-PBE).
No peak broadening, texture or thermal motion is included.

Structure:
Lattice parameters (Å, degrees): 4.213 4.261 10.449 90.00 90.00 90.00
Space group Imm2 (No. 44)
Symmetry-distinct sites (fractional):
Ce: 0.000 0.000 0.000 [2 per cell]
Al: 0.000 0.000 0.400 [2 per cell]
Al: 0.000 0.500 0.247 [2 per cell]
Zn: 0.000 0.500 0.752 [2 per cell]
Cu: 0.000 0.000 0.627 [2 per cell]

Main lines, low angle first (10° ≤ 2θ ≤ 80°):
2theta, d_spacing, I (rel.)
22.76, 3.907, 25
29.82, 2.996, 22
33.22, 2.697, 41
33.38, 2.684, 34
34.51, 2.599, 100
42.43, 2.131, 25
42.93, 2.107, 24
48.65, 1.872, 21